[1]
This entry pairs a crystal structure of Hf4CoP2Pd with its computed powder diffraction line list. Radiation: λ = 1.5418 Å (Cu Kα). Structure: a cell relaxed with PBE.
Lines closer than 0.1° are merged.

Most intense lines, 5 to 70 degrees two-theta, most intense first:
h k l, 2θ (°), Rel. int.
0 1 2, 35.33, 100
1 1 1, 35.43, 95
1 1 -1, 30.60, 79
2 0 -2, 36.70, 49
2 0 0, 36.45, 48
1 0 -3, 36.15, 43
1 0 3, 47.96, 39
0 2 0, 50.13, 37
2 1 -2, 44.60, 36
1 1 -3, 44.13, 29

Crystal structure
a = 5.2383 Å, b = 3.6398 Å, c = 7.5383 Å
α = 90.00°, β = 109.75°, γ = 90.00°
Space group Pm (No. 6)
Symmetry-distinct sites (fractional):
Hf1 0.0000 0.0000 0.0000 [1 per cell]
Hf2 0.0577 0.5000 0.6202 [1 per cell]
Hf3 0.4893 0.0000 0.4751 [1 per cell]
Hf4 0.5564 0.5000 0.1450 [1 per cell]
Co1 0.1341 0.5000 0.2633 [1 per cell]
P1 0.6593 0.5000 0.7569 [1 per cell]
P2 0.9185 0.0000 0.3473 [1 per cell]
Pd1 0.4138 0.0000 0.8513 [1 per cell]

=====

[2]
This entry pairs a crystal structure of Hf2CoRe with its computed powder diffraction line list. Radiation: λ = 1.5418 Å (Cu Kα). Structure: a cell relaxed with PBE.
Lines closer than 0.1° are merged.

Most intense lines, 5 to 70 degrees two-theta, most intense first:
h k l, 2θ (°), Rel. int.
2 2 0, 39.64, 100
4 0 0, 57.31, 17
1 1 1, 23.97, 10
3 1 1, 46.86, 5
2 0 0, 27.75, 4
3 3 1, 63.01, 2
4 2 0, 64.85, 2
2 2 2, 49.08, 1

Crystal structure
a = 6.4302 Å, b = 6.4302 Å, c = 6.4302 Å
α = 90.00°, β = 90.00°, γ = 90.00°
Space group Fm-3m (No. 225)
Symmetry-distinct sites (fractional):
Hf1 0.2500 0.2500 0.2500 [8 per cell]
Co1 0.0000 0.0000 0.0000 [4 per cell]
Re1 0.0000 0.0000 0.5000 [4 per cell]

=====

[3]
This entry pairs a crystal structure of Hf2CoRe with its computed powder diffraction line list. Radiation: λ = 1.5418 Å (Cu Kα). Structure: a cell relaxed with PBE.
Lines closer than 0.1° are merged.

Most intense lines, 5 to 70 degrees two-theta, most intense first:
h k l, 2θ (°), Rel. int.
2 2 0, 39.51, 100
2 0 2, 39.91, 49
4 0 0, 57.72, 17
1 0 1, 19.65, 12
0 4 0, 56.50, 9
1 2 1, 33.93, 6
2 0 0, 27.93, 4
3 2 1, 53.36, 4
3 0 1, 44.86, 3
0 2 0, 27.38, 2

Crystal structure
a = 6.3897 Å, b = 6.5145 Å, c = 6.3879 Å
α = 90.00°, β = 90.00°, γ = 90.00°
Space group Imma (No. 74)
Symmetry-distinct sites (fractional):
Hf1 0.2500 0.9999 0.2500 [8 per cell]
Co1 0.0000 0.2500 0.0005 [4 per cell]
Re1 0.0000 0.2500 0.5000 [4 per cell]

=====

[4]
This entry pairs a crystal structure of Hf5CoSb3 with its computed powder diffraction line list. Radiation: λ = 1.5418 Å (Cu Kα). Structure: a cell relaxed with PBE.
Lines closer than 0.1° are merged.

Most intense lines, 5 to 70 degrees two-theta, most intense first:
h k l, 2θ (°), Rel. int.
2 1 1, 35.64, 100
1 1 2, 37.82, 95
3 0 0, 36.31, 63
2 2 2, 53.43, 26
2 1 0, 31.90, 24
2 1 3, 58.53, 24
3 2 1, 56.38, 15
4 0 2, 59.37, 14
4 1 0, 56.84, 13
1 0 2, 33.58, 11

Crystal structure
a = 8.5707 Å, b = 8.5707 Å, c = 5.7201 Å
α = 90.00°, β = 90.00°, γ = 120.00°
Space group P6_3/mcm (No. 193)
Symmetry-distinct sites (fractional):
Hf1 0.0000 0.2499 0.2500 [6 per cell]
Hf2 0.3333 0.6667 0.0000 [4 per cell]
Co1 0.0000 0.0000 0.0000 [2 per cell]
Sb1 0.0000 0.3923 0.7500 [6 per cell]